1.
Li17Ni11O28: computed X-ray powder pattern (λ = 1.5418 Å (Cu Kα)), based on a crystal structure in the Materials Project, relaxed with GGA+U.
Lines closer than 0.1° are merged.

Structure:
a = 5.7963 Å, b = 6.4042 Å, c = 13.1910 Å
α = 84.35°, β = 82.89°, γ = 75.96°
Space group P-1 (No. 2)
Symmetry-distinct sites (fractional):
1 Li 0.0000 0.0000 0.0000 [1 per cell]
2 Li 0.0000 0.5000 0.5000 [1 per cell]
3 Li 0.0785 0.4284 0.2884 [2 per cell]
4 Li 0.1399 0.3574 0.0722 [2 per cell]
5 Li 0.2128 0.2761 0.8590 [2 per cell]
6 Li 0.2181 0.7825 0.3575 [2 per cell]
7 Li 0.2885 0.2199 0.6421 [2 per cell]
8 Li 0.3609 0.1405 0.4305 [2 per cell]
9 Li 0.4261 0.0616 0.2158 [2 per cell]
10 Li 0.5000 0.0000 0.0000 [1 per cell]
11 Ni 0.0663 0.9300 0.7845 [2 per cell]
12 Ni 0.1351 0.8573 0.5706 [2 per cell]
13 Ni 0.2881 0.7151 0.1429 [2 per cell]
14 Ni 0.3562 0.6417 0.9280 [2 per cell]
15 Ni 0.4206 0.5701 0.7128 [2 per cell]
16 Ni 0.5000 0.5000 0.5000 [1 per cell]
17 O 0.0116 0.7659 0.2385 [2 per cell]
18 O 0.0663 0.1558 0.5291 [2 per cell]
19 O 0.1053 0.6771 0.0366 [2 per cell]
20 O 0.1179 0.1026 0.3206 [2 per cell]
21 O 0.1486 0.6260 0.8133 [2 per cell]
22 O 0.2010 0.5549 0.6038 [2 per cell]
23 O 0.2041 0.0206 0.1175 [2 per cell]
24 O 0.2768 0.9410 0.8838 [2 per cell]
25 O 0.3219 0.8878 0.6769 [2 per cell]
26 O 0.3251 0.4612 0.3902 [2 per cell]
27 O 0.3710 0.4118 0.1726 [2 per cell]
28 O 0.4100 0.8079 0.4740 [2 per cell]
29 O 0.4414 0.3295 0.9572 [2 per cell]
30 O 0.4915 0.7331 0.2433 [2 per cell]

Main lines, by angle (5 to 70 degrees two-theta):
2θ (°)	I_rel
18.7	100
36.4	14
37.0	24
44.0	28
44.8	26
44.9	26

***

2.
Li4Ni11O22: computed X-ray powder pattern (λ = 1.5418 Å (Cu Kα)), based on a crystal structure in the Materials Project, relaxed with GGA+U.
Lines closer than 0.1° are merged.

Structure:
a = 7.4152 Å, b = 7.6400 Å, c = 7.7500 Å
α = 82.77°, β = 68.83°, γ = 66.19°
Space group P-1 (No. 2)
Symmetry-distinct sites (fractional):
1 Li 0.1541 0.1036 0.4007 [2 per cell]
2 Li 0.3070 0.5517 0.9413 [2 per cell]
3 Ni 0.0000 0.5000 0.5000 [1 per cell]
4 Ni 0.0903 0.2265 0.7741 [2 per cell]
5 Ni 0.1804 0.9531 0.0485 [2 per cell]
6 Ni 0.2694 0.6827 0.3205 [2 per cell]
7 Ni 0.3678 0.4023 0.5864 [2 per cell]
8 Ni 0.4534 0.1362 0.8670 [2 per cell]
9 O 0.0435 0.9026 0.2943 [2 per cell]
10 O 0.0627 0.8094 0.9863 [2 per cell]
11 O 0.1154 0.6468 0.5610 [2 per cell]
12 O 0.1367 0.5499 0.2552 [2 per cell]
13 O 0.2240 0.2785 0.5267 [2 per cell]
14 O 0.2323 0.3523 0.8349 [2 per cell]
15 O 0.3175 0.0799 0.1131 [2 per cell]
16 O 0.3177 0.0136 0.7962 [2 per cell]
17 O 0.3871 0.8362 0.3732 [2 per cell]
18 O 0.4286 0.7139 0.0742 [2 per cell]
19 O 0.4965 0.4689 0.3432 [2 per cell]

Main lines, by angle (5 to 70 degrees two-theta):
2θ (°)	I_rel
17.9	100
37.0	11
37.6	9
44.1	15
44.6	28
57.6	10

***

3.
LiNi2O3: computed X-ray powder pattern (λ = 1.5418 Å (Cu Kα)), based on a crystal structure in the Materials Project, relaxed with GGA+U.
Lines closer than 0.1° are merged.

Structure:
a = 5.0785 Å, b = 8.8253 Å, c = 9.7128 Å
α = 90.00°, β = 100.35°, γ = 90.00°
Space group C2/c (No. 15)
Symmetry-distinct sites (fractional):
1 Li 0.0000 0.0854 0.2500 [4 per cell]
2 Li 0.0000 0.2556 0.7500 [4 per cell]
3 Ni 0.0000 0.4149 0.2500 [4 per cell]
4 Ni 0.2504 0.0829 0.0004 [8 per cell]
5 Ni 0.2500 0.2500 0.5000 [4 per cell]
6 O 0.1008 0.2513 0.1151 [8 per cell]
7 O 0.1226 0.4240 0.6249 [8 per cell]
8 O 0.1350 0.0955 0.6160 [8 per cell]

Main lines, by angle (5 to 70 degrees two-theta):
2θ (°)	I_rel
18.6	59
37.5	55
43.6	100
43.8	49
63.4	42
63.6	27

***

4.
LiNiO2: computed X-ray powder pattern (λ = 1.5418 Å (Cu Kα)), based on a crystal structure in the Materials Project, relaxed with GGA+U.
Lines closer than 0.1° are merged.

Structure:
a = 5.7949 Å, b = 5.8017 Å, c = 8.1353 Å
α = 90.38°, β = 90.30°, γ = 90.72°
Space group P1 (No. 1)
Symmetry-distinct sites (fractional):
1 Li 0.0000 0.0000 0.0000 [1 per cell]
2 Li 0.0009 0.4936 0.5029 [1 per cell]
3 Li 0.2528 0.7487 0.7512 [1 per cell]
4 Li 0.4969 0.9960 0.9980 [1 per cell]
5 Li 0.4982 0.4927 0.5004 [1 per cell]
6 Li 0.5028 0.4962 0.9997 [1 per cell]
7 Li 0.7470 0.2429 0.2502 [1 per cell]
8 Li 0.9968 0.9940 0.5006 [1 per cell]
9 Ni 0.0037 0.4994 0.9993 [1 per cell]
10 Ni 0.2493 0.7452 0.2473 [1 per cell]
11 Ni 0.2508 0.2433 0.2509 [1 per cell]
12 Ni 0.2509 0.2440 0.7510 [1 per cell]
13 Ni 0.4956 0.9927 0.5017 [1 per cell]
14 Ni 0.7484 0.2447 0.7513 [1 per cell]
15 Ni 0.7476 0.7464 0.2503 [1 per cell]
16 Ni 0.7479 0.7471 0.7512 [1 per cell]
17 O 0.0054 0.5045 0.7669 [1 per cell]
18 O 0.0140 0.5089 0.2354 [1 per cell]
19 O 0.0152 0.9724 0.2495 [1 per cell]
20 O 0.2314 0.2694 0.9949 [1 per cell]
21 O 0.2360 0.7322 0.0148 [1 per cell]
22 O 0.2586 0.7548 0.4802 [1 per cell]
23 O 0.2615 0.2284 0.5064 [1 per cell]
24 O 0.4806 0.9773 0.2437 [1 per cell]
25 O 0.4827 0.5173 0.2488 [1 per cell]
26 O 0.4961 0.9893 0.7565 [1 per cell]
27 O 0.5196 0.4802 0.7506 [1 per cell]
28 O 0.7331 0.2297 0.5115 [1 per cell]
29 O 0.7328 0.7576 0.5038 [1 per cell]
30 O 0.7707 0.2669 0.9915 [1 per cell]
31 O 0.7718 0.7284 0.9977 [1 per cell]
32 O 0.9794 0.0113 0.7507 [1 per cell]

Main lines, by angle (5 to 70 degrees two-theta):
2θ (°)	I_rel
18.7	100
21.8	54
30.9	45
43.9	45
44.5	87
64.3	36